Calculated powder X-ray diffraction pattern of K2GeS6O21 for CuKα, from a cell relaxed with PBE.
Lines closer than 0.1° are merged.

Top 10 peaks for 2θ = 15–90°, low angle first:
Position (°2θ)  Rel. int.
15.86  37
18.99  47
19.70  46
26.29  100
27.67  22
31.46  15
32.05  34
38.52  12
41.44  14
42.83  14

Structural model:
```
K2GeS6O21
1.0
9.8502 0.0000 0.0000
-4.9251 8.5305 0.0000
0.0000 0.0000 11.1765
K Ge S O
4 2 12 42
Direct
0.3333 0.6667 0.0590
0.3333 0.6667 0.6285
0.6667 0.3333 0.3715
0.6667 0.3333 0.9410
0.0000 0.0000 0.2586
0.0000 0.0000 0.7414
0.0712 0.7377 0.8394
0.1596 0.3477 0.3479
0.1881 0.8404 0.3479
0.2623 0.3335 0.8394
0.3335 0.0712 0.1606
0.3477 0.1881 0.6521
0.6523 0.8119 0.3479
0.6665 0.9288 0.8394
0.7377 0.6665 0.1606
0.8119 0.1596 0.6521
0.8404 0.6523 0.6521
0.9288 0.2623 0.1606
0.0062 0.6694 0.7026
0.0275 0.3764 0.0741
0.0550 0.8830 0.8475
0.0590 0.8832 0.3609
0.1170 0.1719 0.8475
0.1168 0.1758 0.3609
0.1517 0.7213 0.2599
0.1719 0.0550 0.1525
0.1738 0.4138 0.4646
0.1758 0.0590 0.6391
0.2244 0.4561 0.8306
0.2317 0.7756 0.8306
0.2400 0.8262 0.4646
0.2787 0.4304 0.2599
0.3306 0.3368 0.7026
0.3368 0.0062 0.2974
0.3490 0.9725 0.0741
0.3764 0.3490 0.9259
0.4138 0.2400 0.5354
0.4304 0.1517 0.7401
0.4561 0.2317 0.1694
0.5439 0.7683 0.8306
0.5696 0.8483 0.2599
0.5862 0.7600 0.4646
0.6236 0.6510 0.0741
0.6510 0.0275 0.9259
0.6632 0.9938 0.7026
0.6694 0.6632 0.2974
0.7213 0.5696 0.7401
0.7600 0.1738 0.5354
0.7683 0.2244 0.1694
0.7756 0.5439 0.1694
0.8242 0.9410 0.3609
0.8262 0.5862 0.5354
0.8281 0.9450 0.8475
0.8483 0.2787 0.7401
0.8832 0.8242 0.6391
0.8830 0.8281 0.1525
0.9410 0.1168 0.6391
0.9450 0.1170 0.1525
0.9725 0.6236 0.9259
0.9938 0.3306 0.2974
```

Calculated powder X-ray diffraction pattern of K2Si6GeO15 for CuKα, from a cell relaxed with PBE.
Lines closer than 0.1° are merged.

Top 10 peaks for 2θ = 15–90°, low angle first:
Position (°2θ)  Rel. int.
21.62  63
24.80  42
25.02  100
27.20  60
27.41  75
28.25  37
29.25  50
29.37  31
35.09  36
37.68  28

Structural model:
```
K2Si6GeO15
1.0
6.3798 -3.6486 0.0000
6.3798 3.6486 0.0000
-4.3506 0.0000 14.3638
K Si Ge O
4 12 2 30
Direct
0.0672 0.9328 0.5000
0.3548 0.7218 0.8108
0.7218 0.3548 0.3108
0.9328 0.0672 0.0000
0.1917 0.2649 0.2184
0.1967 0.3415 0.5241
0.2649 0.1917 0.7184
0.2790 0.8388 0.2343
0.3415 0.1967 0.0241
0.4386 0.5433 0.0402
0.5433 0.4386 0.5402
0.7103 0.7368 0.0423
0.7368 0.7103 0.5423
0.7438 0.9169 0.7518
0.8388 0.2790 0.7343
0.9169 0.7438 0.2518
0.0405 0.5413 0.8849
0.5413 0.0405 0.3849
0.0857 0.1124 0.7118
0.1124 0.0857 0.2118
0.1431 0.7473 0.2617
0.1760 0.2742 0.9312
0.2092 0.4150 0.7859
0.2105 0.2654 0.1115
0.2561 0.6238 0.9525
0.2654 0.2105 0.6115
0.2742 0.1760 0.4312
0.2963 0.5102 0.5521
0.3679 0.6958 0.1377
0.4150 0.2092 0.2859
0.4780 0.8192 0.3148
0.4800 0.9354 0.0046
0.4918 0.9860 0.7514
0.5102 0.2963 0.0521
0.5344 0.6601 0.5275
0.6238 0.2561 0.4525
0.6601 0.5344 0.0275
0.6871 0.8965 0.4891
0.6958 0.3679 0.6377
0.7473 0.1431 0.7617
0.7669 0.8151 0.1530
0.8074 0.9056 0.3397
0.8151 0.7669 0.6530
0.8192 0.4780 0.8148
0.8965 0.6871 0.9891
0.9056 0.8074 0.8397
0.9354 0.4800 0.5046
0.9860 0.4918 0.2514
```